Structure and computed X-ray diffraction stick pattern of K3MgNbO8 (a DFT-relaxed cell (PBE, the Materials Project); Cu Kα).
Peak positions follow from Bragg's law for the DFT cell and can differ from measured ones.

Structural model:
```
K3MgNbO8
1.0
-3.023 3.461 5.257
3.023 -3.461 5.257
3.023 3.461 -5.257
K Mg Nb O
3 1 1 8
direct
0.000 0.000 0.000
0.179 0.679 0.500
0.821 0.321 0.500
0.500 0.000 0.500
0.500 0.500 0.000
0.225 0.185 0.708
0.281 0.739 0.048
0.310 0.261 0.543
0.477 0.517 0.292
0.523 0.815 0.040
0.690 0.233 0.952
0.719 0.767 0.457
0.775 0.483 0.960
```

Principal peaks in the range 10 to 90 degrees two-theta, by intensity:
two_theta  I (rel.)
16.88  100
25.89  88
39.58  66
15.33  55
25.74  31
43.30  29
41.55  26
28.55  24
53.21  22
29.51  22

***

Structure and computed X-ray diffraction stick pattern of Rb2PrCuF6 (a DFT-relaxed cell (PBE, the Materials Project); Cu Kα).
Peak positions follow from Bragg's law for the DFT cell and can differ from measured ones.

Structural model:
```
Rb2PrCuF6
1.0
0.000 4.580 4.580
4.580 0.000 4.580
4.580 4.580 0.000
Rb Pr Cu F
2 1 1 6
direct
0.250 0.250 0.250
0.750 0.750 0.750
0.000 0.000 0.000
0.500 0.500 0.500
0.251 0.251 0.749
0.251 0.749 0.251
0.251 0.749 0.749
0.749 0.251 0.251
0.749 0.251 0.749
0.749 0.749 0.251
```

Principal peaks in the range 10 to 90 degrees two-theta, by intensity:
two_theta  I (rel.)
27.54  100
48.70  42
39.35  40
56.86  25
78.08  21
64.32  18
16.76  9
71.34  8
19.38  6
32.42  6

***

Structure and computed X-ray diffraction stick pattern of K3Mo3C3Se4N2 (a DFT-relaxed cell (PBE, the Materials Project); Cu Kα).
Peak positions follow from Bragg's law for the DFT cell and can differ from measured ones.

Structural model:
```
K3Mo3C3Se4N2
1.0
-5.866 5.866 4.813
5.866 -5.866 4.813
5.866 5.866 -4.813
K Mo C Se N
6 6 6 8 4
direct
0.130 0.221 0.351
0.221 0.870 0.091
0.250 0.750 0.500
0.750 0.250 0.500
0.779 0.130 0.909
0.870 0.779 0.649
0.296 0.296 0.000
0.345 0.554 0.899
0.446 0.345 0.792
0.554 0.655 0.208
0.655 0.446 0.101
0.704 0.704 0.000
0.066 0.066 0.000
0.168 0.606 0.773
0.394 0.168 0.562
0.606 0.832 0.438
0.832 0.394 0.227
0.934 0.934 0.000
0.110 0.214 0.704
0.214 0.510 0.104
0.406 0.110 0.896
0.490 0.594 0.704
0.510 0.406 0.296
0.594 0.890 0.104
0.786 0.490 0.896
0.890 0.786 0.296
0.070 0.631 0.701
0.369 0.070 0.439
0.631 0.930 0.561
0.930 0.369 0.299
```

Principal peaks in the range 10 to 90 degrees two-theta, by intensity:
two_theta  I (rel.)
11.89  100
10.66  93
39.11  47
30.42  39
42.49  29
48.07  18
49.10  18
39.44  17
50.64  14
28.96  12